This entry pairs a crystal structure of K2NaAsO4 with its calculated powder diffraction line list. Radiation: CuKα. Structure: a PBE-relaxed structure.
Peak positions follow from Bragg's law for the DFT cell and can differ from measured ones.

Peak list (10 most intense, 10 to 90 degrees two-theta, in order of rising 2θ)
- 18.70 deg, rel. 39
- 20.52 deg, rel. 20
- 29.17 deg, rel. 40
- 31.54 deg, rel. 100
- 34.88 deg, rel. 11
- 41.73 deg, rel. 23
- 53.23 deg, rel. 40
- 57.59 deg, rel. 19
- 68.55 deg, rel. 10
- 69.81 deg, rel. 11

```
K2NaAsO4
1.0
-3.0611 3.0611 3.7555
3.0611 -3.0611 3.7555
3.0611 3.0611 -3.7555
K Na As O
2 1 1 4
direct
0.0000 0.0000 0.0000
0.7500 0.2500 0.5000
0.2500 0.7500 0.5000
0.5000 0.5000 0.0000
0.2301 0.5584 0.0468
0.4416 0.4884 0.6717
0.5116 0.1833 0.9532
0.8167 0.7699 0.3283
```

***

This entry pairs a crystal structure of KNa2AsO4 with its calculated powder diffraction line list. Radiation: CuKα. Structure: a PBE-relaxed structure.
Peak positions follow from Bragg's law for the DFT cell and can differ from measured ones.

Peak list (10 most intense, 10 to 90 degrees two-theta, in order of rising 2θ)
- 18.97 deg, rel. 29
- 19.13 deg, rel. 36
- 22.03 deg, rel. 66
- 27.01 deg, rel. 23
- 31.15 deg, rel. 43
- 31.36 deg, rel. 100
- 31.57 deg, rel. 48
- 44.94 deg, rel. 35
- 56.08 deg, rel. 29
- 74.36 deg, rel. 17

```
KNa2AsO4
1.0
8.0687 0.0000 0.0000
0.0000 5.7421 0.0000
0.0000 0.0000 5.6687
K Na As O
2 4 2 8
direct
0.0000 0.2164 0.0000
0.5000 0.7836 0.5000
0.2480 0.3043 0.5142
0.2520 0.6957 0.0142
0.7480 0.6957 0.0142
0.7520 0.3043 0.5142
0.0000 0.8027 0.5294
0.5000 0.1973 0.0294
0.0000 0.1007 0.4795
0.0000 0.7531 0.8307
0.1770 0.6822 0.4088
0.3230 0.3178 0.9088
0.5000 0.2469 0.3307
0.5000 0.8993 0.9795
0.6770 0.3178 0.9088
0.8230 0.6822 0.4088
```

***

This entry pairs a crystal structure of KNaAs6Pb8O24 with its calculated powder diffraction line list. Radiation: CuKα. Structure: a PBE-relaxed structure.
Peak positions follow from Bragg's law for the DFT cell and can differ from measured ones.

Peak list (10 most intense, 10 to 90 degrees two-theta, in order of rising 2θ)
- 20.91 deg, rel. 25
- 23.64 deg, rel. 27
- 26.45 deg, rel. 21
- 29.03 deg, rel. 100
- 29.40 deg, rel. 63
- 30.07 deg, rel. 50
- 42.55 deg, rel. 22
- 45.05 deg, rel. 33
- 45.97 deg, rel. 30
- 47.40 deg, rel. 24

```
KNaAs6Pb8O24
1.0
10.2963 0.0000 0.0000
-5.1482 8.9169 0.0000
0.0000 0.0000 7.5266
K Na As Pb O
1 1 6 8 24
direct
0.0000 0.0000 0.0000
0.6667 0.3333 0.4753
0.3196 0.2779 0.2376
0.3560 0.0633 0.7226
0.7073 0.6440 0.7226
0.7221 0.0418 0.2376
0.9367 0.2927 0.7226
0.9582 0.6804 0.2376
0.0000 0.0000 0.5059
0.0675 0.6652 0.7179
0.0721 0.4036 0.2314
0.3315 0.9279 0.2314
0.3348 0.4023 0.7179
0.5964 0.6685 0.2314
0.5977 0.9325 0.7179
0.6667 0.3333 0.0005
0.0180 0.1822 0.7264
0.0220 0.4316 0.5633
0.0705 0.7521 0.0535
0.0859 0.7490 0.4114
0.1642 0.9820 0.7264
0.2360 0.0840 0.2615
0.2479 0.3184 0.0535
0.2510 0.3369 0.4114
0.4096 0.9780 0.5633
0.4292 0.0430 0.9204
0.4428 0.2545 0.6795
0.5120 0.3621 0.2378
0.5684 0.5904 0.5633
0.6138 0.5708 0.9204
0.6379 0.1500 0.2378
0.6631 0.9141 0.4114
0.6816 0.9295 0.0535
0.7455 0.1883 0.6795
0.8117 0.5572 0.6795
0.8178 0.8358 0.7264
0.8480 0.7640 0.2615
0.8500 0.4880 0.2378
0.9160 0.1520 0.2615
0.9570 0.3862 0.9204
```

***

This entry pairs a crystal structure of KNaAsPd with its calculated powder diffraction line list. Radiation: CuKα. Structure: a PBE-relaxed structure.
Peak positions follow from Bragg's law for the DFT cell and can differ from measured ones.

Peak list (10 most intense, 10 to 90 degrees two-theta, in order of rising 2θ)
- 14.34 deg, rel. 100
- 24.97 deg, rel. 13
- 28.91 deg, rel. 18
- 30.16 deg, rel. 35
- 33.49 deg, rel. 27
- 33.64 deg, rel. 13
- 40.39 deg, rel. 18
- 40.58 deg, rel. 35
- 43.26 deg, rel. 25
- 61.27 deg, rel. 15

```
KNaAsPd
1.0
3.8443 -2.2331 0.0000
3.8443 2.2331 0.0000
-2.5787 0.0000 6.1757
K Na As Pd
1 1 1 1
direct
0.0000 0.0000 0.0000
0.1994 0.1994 0.5930
0.4523 0.4523 0.3537
0.7898 0.7898 0.3659
```

***

This entry pairs a crystal structure of K2NaSiAs2 with its calculated powder diffraction line list. Radiation: CuKα. Structure: a PBE-relaxed structure.
Peak positions follow from Bragg's law for the DFT cell and can differ from measured ones.

Peak list (10 most intense, 10 to 90 degrees two-theta, in order of rising 2θ)
- 11.81 deg, rel. 32
- 14.02 deg, rel. 21
- 22.07 deg, rel. 26
- 25.58 deg, rel. 25
- 27.16 deg, rel. 31
- 30.31 deg, rel. 100
- 35.18 deg, rel. 22
- 36.38 deg, rel. 26
- 37.66 deg, rel. 50
- 50.01 deg, rel. 23

```
K2NaSiAs2
1.0
-3.4819 7.4949 3.2829
3.4819 -7.4949 3.2829
3.4819 7.4949 -3.2829
K Na Si As
4 2 2 4
direct
0.1761 0.2463 0.4223
0.3239 0.7463 0.0702
0.6761 0.2537 0.9298
0.8239 0.7537 0.5777
0.2500 0.7500 0.5000
0.7500 0.2500 0.5000
0.2500 0.2500 0.0000
0.7500 0.7500 0.0000
0.0904 0.8019 0.8923
0.4096 0.3019 0.7116
0.5904 0.6981 0.2884
0.9096 0.1981 0.1077
```

***

This entry pairs a crystal structure of KNaSiAs2 with its calculated powder diffraction line list. Radiation: CuKα. Structure: a PBE-relaxed structure.
Peak positions follow from Bragg's law for the DFT cell and can differ from measured ones.

Peak list (10 most intense, 10 to 90 degrees two-theta, in order of rising 2θ)
- 11.78 deg, rel. 42
- 23.68 deg, rel. 57
- 25.07 deg, rel. 100
- 30.21 deg, rel. 50
- 34.31 deg, rel. 42
- 35.87 deg, rel. 29
- 37.48 deg, rel. 29
- 39.63 deg, rel. 26
- 44.01 deg, rel. 34
- 45.10 deg, rel. 28

```
KNaSiAs2
1.0
7.5910 -2.0101 0.0000
7.5910 2.0101 0.0000
-1.3545 0.0000 9.5278
K Na Si As
2 2 2 4
direct
0.1177 0.1177 0.1553
0.8823 0.8823 0.8447
0.2050 0.2050 0.5973
0.7950 0.7950 0.4027
0.4497 0.4497 0.3393
0.5503 0.5503 0.6607
0.0963 0.0963 0.8061
0.3962 0.3962 0.5656
0.6038 0.6038 0.4344
0.9037 0.9037 0.1939
```

***

This entry pairs a crystal structure of KNbAs2 with its calculated powder diffraction line list. Radiation: CuKα. Structure: a PBE-relaxed structure.
Peak positions follow from Bragg's law for the DFT cell and can differ from measured ones.

Peak list (10 most intense, 10 to 90 degrees two-theta, in order of rising 2θ)
- 10.69 deg, rel. 62
- 31.90 deg, rel. 100
- 38.25 deg, rel. 21
- 40.85 deg, rel. 36
- 49.73 deg, rel. 15
- 50.24 deg, rel. 30
- 60.75 deg, rel. 15
- 66.67 deg, rel. 8
- 78.14 deg, rel. 9
- 82.63 deg, rel. 12

```
KNbAs2
1.0
1.8161 1.0485 8.2738
-1.8161 1.0485 8.2738
0.0000 -2.0971 8.2738
K Nb As
1 1 2
direct
0.0000 0.0000 0.0000
0.5000 0.5000 0.5000
0.2325 0.2325 0.2325
0.7675 0.7675 0.7675
```

***

This entry pairs a crystal structure of KNb2As4 with its calculated powder diffraction line list. Radiation: CuKα. Structure: a PBE-relaxed structure.
Peak positions follow from Bragg's law for the DFT cell and can differ from measured ones.

Peak list (10 most intense, 10 to 90 degrees two-theta, in order of rising 2θ)
- 12.81 deg, rel. 30
- 17.94 deg, rel. 41
- 23.76 deg, rel. 47
- 27.08 deg, rel. 41
- 33.85 deg, rel. 100
- 36.66 deg, rel. 41
- 46.26 deg, rel. 55
- 48.63 deg, rel. 35
- 50.76 deg, rel. 31
- 69.37 deg, rel. 32

```
KNb2As4
1.0
-2.6480 2.6480 6.9127
2.6480 -2.6480 6.9127
2.6480 2.6480 -6.9127
K Nb As
1 2 4
direct
0.0000 0.0000 0.0000
0.4114 0.4114 0.0000
0.5886 0.5886 0.0000
0.0000 0.5000 0.5000
0.2387 0.2387 0.0000
0.5000 0.0000 0.5000
0.7613 0.7613 0.0000
```

***

This entry pairs a crystal structure of KNbAsO5 with its calculated powder diffraction line list. Radiation: CuKα. Structure: a PBE-relaxed structure.
Peak positions follow from Bragg's law for the DFT cell and can differ from measured ones.

Peak list (10 most intense, 10 to 90 degrees two-theta, in order of rising 2θ)
- 16.49 deg, rel. 44
- 16.86 deg, rel. 23
- 25.13 deg, rel. 100
- 27.39 deg, rel. 75
- 31.35 deg, rel. 79
- 32.02 deg, rel. 54
- 34.09 deg, rel. 24
- 49.96 deg, rel. 20
- 50.96 deg, rel. 26
- 56.80 deg, rel. 21

```
KNbAsO5
1.0
3.6203 -4.7609 0.0000
3.6203 4.7609 0.0000
-3.3539 0.0000 6.9047
K Nb As O
2 2 2 10
direct
0.1728 0.8272 0.7500
0.8272 0.1728 0.2500
0.5000 0.5000 0.0000
0.5000 0.5000 0.5000
0.1895 0.8105 0.2500
0.8105 0.1895 0.7500
0.1285 0.2674 0.9003
0.2098 0.6113 0.3926
0.2674 0.1285 0.4003
0.3887 0.7902 0.1074
0.4491 0.5509 0.7500
0.5509 0.4491 0.2500
0.6113 0.2098 0.8926
0.7326 0.8715 0.5997
0.7902 0.3887 0.6074
0.8715 0.7326 0.0997
```

***

This entry pairs a crystal structure of KNb2AsO8 with its calculated powder diffraction line list. Radiation: CuKα. Structure: a PBE-relaxed structure.
Peak positions follow from Bragg's law for the DFT cell and can differ from measured ones.

Peak list (10 most intense, 10 to 90 degrees two-theta, in order of rising 2θ)
- 10.82 deg, rel. 100
- 20.18 deg, rel. 14
- 23.21 deg, rel. 96
- 24.84 deg, rel. 51
- 31.13 deg, rel. 24
- 32.11 deg, rel. 25
- 33.17 deg, rel. 41
- 35.31 deg, rel. 14
- 40.76 deg, rel. 14
- 41.03 deg, rel. 22

```
KNb2AsO8
1.0
4.6405 -2.7878 0.0000
4.6405 2.7878 0.0000
-2.5525 0.0000 8.1801
K Nb As O
1 2 1 8
direct
0.0000 0.0000 0.0000
0.1952 0.1952 0.6753
0.8048 0.8048 0.3247
0.5000 0.5000 0.5000
0.2073 0.6723 0.3395
0.3079 0.3079 0.5221
0.3110 0.3110 0.8817
0.3277 0.7927 0.6605
0.6723 0.2073 0.3395
0.6890 0.6890 0.1183
0.6921 0.6921 0.4779
0.7927 0.3277 0.6605
```

***

This entry pairs a crystal structure of KNb4AsO13 with its calculated powder diffraction line list. Radiation: CuKα. Structure: a PBE-relaxed structure.
Peak positions follow from Bragg's law for the DFT cell and can differ from measured ones.

Peak list (10 most intense, 10 to 90 degrees two-theta, in order of rising 2θ)
- 11.80 deg, rel. 27
- 18.94 deg, rel. 15
- 24.27 deg, rel. 100
- 27.88 deg, rel. 47
- 29.56 deg, rel. 12
- 31.82 deg, rel. 31
- 35.15 deg, rel. 12
- 35.92 deg, rel. 12
- 51.14 deg, rel. 17
- 57.61 deg, rel. 14

```
KNb4AsO13
1.0
5.3342 -5.2721 0.0000
5.3342 5.2721 0.0000
0.0000 0.0000 10.2128
K Nb As O
2 8 2 26
direct
0.0596 0.9404 0.5000
0.9404 0.0596 0.0000
0.0568 0.6012 0.8160
0.3224 0.3284 0.5650
0.3284 0.3224 0.0650
0.3988 0.9432 0.8160
0.6012 0.0568 0.3160
0.6716 0.6776 0.5650
0.6776 0.6716 0.0650
0.9432 0.3988 0.3160
0.3378 0.6622 0.3127
0.6622 0.3378 0.8127
0.1131 0.6302 0.3183
0.1363 0.2999 0.1754
0.1368 0.2957 0.4481
0.1619 0.8381 0.8140
0.1916 0.5078 0.6734
0.1948 0.5039 0.9504
0.2957 0.1368 0.9481
0.2999 0.1363 0.6754
0.3698 0.8869 0.3183
0.4312 0.5688 0.1723
0.4327 0.5673 0.4528
0.4922 0.8084 0.6734
0.4961 0.8052 0.9504
0.5039 0.1948 0.4504
0.5078 0.1916 0.1734
0.5673 0.4327 0.9528
0.5688 0.4312 0.6723
0.6302 0.1131 0.8183
0.7001 0.8637 0.1754
0.7043 0.8632 0.4481
0.8052 0.4961 0.4504
0.8084 0.4922 0.1734
0.8381 0.1619 0.3140
0.8632 0.7043 0.9481
0.8637 0.7001 0.6754
0.8869 0.3698 0.8183
```

***

This entry pairs a crystal structure of KNbAsO6 with its calculated powder diffraction line list. Radiation: CuKα. Structure: a PBE-relaxed structure.
Peak positions follow from Bragg's law for the DFT cell and can differ from measured ones.

Peak list (10 most intense, 10 to 90 degrees two-theta, in order of rising 2θ)
- 15.07 deg, rel. 90
- 19.42 deg, rel. 21
- 24.68 deg, rel. 100
- 33.98 deg, rel. 33
- 37.36 deg, rel. 31
- 42.44 deg, rel. 14
- 46.24 deg, rel. 56
- 55.44 deg, rel. 18
- 58.70 deg, rel. 13
- 60.80 deg, rel. 13

```
KNbAsO6
1.0
5.2771 0.0000 0.0000
-2.6385 4.5701 0.0000
0.0000 0.0000 11.7550
K Nb As O
2 2 2 12
direct
0.0000 0.0000 0.0000
0.0000 0.0000 0.5000
0.3333 0.6667 0.2500
0.6667 0.3333 0.7500
0.3333 0.6667 0.7500
0.6667 0.3333 0.2500
0.0219 0.4055 0.6597
0.0219 0.6164 0.8403
0.3836 0.4055 0.8403
0.3836 0.9781 0.6597
0.4055 0.0219 0.1597
0.4055 0.3836 0.3403
0.5945 0.6164 0.6597
0.5945 0.9781 0.8403
0.6164 0.0219 0.3403
0.6164 0.5945 0.1597
0.9781 0.3836 0.1597
0.9781 0.5945 0.3403
```